# 1
This entry pairs a crystal structure of Mn6O7F5 with its computed powder diffraction line list. Radiation: a wavelength of 1.5418 Å. Structure: DFT lattice parameters and positions (PBE+U).
Kinematic intensities with the Lorentz-polarization factor, no thermal factor.

```
data_Mn6O7F5
_space_group_name_H-M_alt 'P 1'
_space_group_IT_number 1
_cell_length_a 4.601
_cell_length_b 5.641
_cell_length_c 15.325
_cell_angle_alpha 89.87
_cell_angle_beta 89.68
_cell_angle_gamma 89.29
loop_
_space_group_symop_operation_xyz
'x,y,z'
loop_
_atom_site_label
_atom_site_type_symbol
_atom_site_fract_x
_atom_site_fract_y
_atom_site_fract_z
Mn1 Mn 0.000 0.000 0.000
Mn2 Mn 0.001 0.003 0.661
Mn3 Mn 0.010 0.302 0.495
Mn4 Mn 0.013 0.013 0.335
Mn5 Mn 0.013 0.295 0.162
Mn6 Mn 0.510 0.805 0.154
Mn7 Mn 0.518 0.796 0.482
Mn8 Mn 0.525 0.482 0.653
Mn9 Mn 0.536 0.482 0.318
Mn10 Mn 0.554 0.495 0.992
Mn11 Mn 0.563 0.801 0.824
Mn12 Mn 0.991 0.293 0.827
O1 O 0.229 0.263 0.603
O2 O 0.232 0.030 0.104
O3 O 0.235 0.027 0.438
O4 O 0.237 0.259 0.270
O5 O 0.727 0.530 0.208
O6 O 0.729 0.538 0.543
O7 O 0.739 0.763 0.047
O8 O 0.741 0.755 0.711
O9 O 0.747 0.760 0.376
O10 O 0.749 0.533 0.880
O11 O 0.786 0.250 0.722
O12 O 0.788 0.256 0.054
O13 O 0.792 0.257 0.387
O14 O 0.803 0.039 0.887
F1 F 0.254 0.276 0.934
F2 F 0.259 0.770 0.597
F3 F 0.259 0.774 0.266
F4 F 0.271 0.032 0.776
F5 F 0.272 0.522 0.767
F6 F 0.272 0.528 0.092
F7 F 0.284 0.524 0.424
F8 F 0.284 0.773 0.934
F9 F 0.747 0.037 0.551
F10 F 0.768 0.028 0.229
```

Top 10 peaks for 15 to 90 degrees two-theta, most intense first:
Position (°2θ)	I_rel	index
30.7	100	1 -1 3
24.8	58	1 1 0
25.1	54	1 -1 0
30.5	52	1 1 -3
30.4	51	1 1 3
36.4	43	0 2 -3
53.5	25	2 0 6
53.8	23	2 0 -6
41.7	22	-1 2 3
35.1	21	0 0 6

***

# 2
This entry pairs a crystal structure of Mn12O5F19 with its computed powder diffraction line list. Radiation: a wavelength of 1.5418 Å. Structure: DFT lattice parameters and positions (PBE+U).
Kinematic intensities with the Lorentz-polarization factor, no thermal factor.

```
data_Mn12O5F19
_space_group_name_H-M_alt 'P 1'
_space_group_IT_number 1
_cell_length_a 4.851
_cell_length_b 5.864
_cell_length_c 15.996
_cell_angle_alpha 90.23
_cell_angle_beta 90.10
_cell_angle_gamma 91.74
loop_
_space_group_symop_operation_xyz
'x,y,z'
loop_
_atom_site_label
_atom_site_type_symbol
_atom_site_fract_x
_atom_site_fract_y
_atom_site_fract_z
Mn1 Mn 0.000 0.000 0.000
Mn2 Mn 0.000 0.017 0.339
Mn3 Mn 0.006 0.705 0.498
Mn4 Mn 0.014 0.023 0.665
Mn5 Mn 0.465 0.184 0.503
Mn6 Mn 0.479 0.531 0.988
Mn7 Mn 0.492 0.499 0.663
Mn8 Mn 0.499 0.505 0.326
Mn9 Mn 0.500 0.201 0.835
Mn10 Mn 0.514 0.200 0.164
Mn11 Mn 0.983 0.674 0.169
Mn12 Mn 0.984 0.682 0.840
O1 O 0.198 0.730 0.943
O2 O 0.209 0.979 0.449
O3 O 0.276 0.240 0.604
O4 O 0.700 0.483 0.888
O5 O 0.703 0.460 0.227
F1 F 0.220 0.951 0.782
F2 F 0.224 0.736 0.612
F3 F 0.227 0.741 0.279
F4 F 0.227 0.967 0.115
F5 F 0.248 0.452 0.773
F6 F 0.254 0.235 0.942
F7 F 0.255 0.244 0.274
F8 F 0.265 0.479 0.432
F9 F 0.269 0.470 0.100
F10 F 0.691 0.226 0.395
F11 F 0.724 0.457 0.546
F12 F 0.725 0.245 0.051
F13 F 0.728 0.239 0.722
F14 F 0.748 0.746 0.060
F15 F 0.753 0.950 0.559
F16 F 0.756 0.970 0.890
F17 F 0.760 0.727 0.386
F18 F 0.768 0.967 0.227
F19 F 0.772 0.729 0.726
```

Top 10 peaks for 15 to 90 degrees two-theta, most intense first:
Position (°2θ)	I_rel	index
28.9	100	1 -1 3
29.4	49	1 1 -3
23.5	49	1 -1 0
29.5	44	1 1 3
24.2	43	1 1 0
51.1	39	-2 2 3
50.9	38	2 0 6
50.9	24	2 0 -6
38.5	20	1 0 6
39.3	20	1 -2 3

***

# 3
This entry pairs a crystal structure of Mn6O7F5 with its computed powder diffraction line list. Radiation: a wavelength of 1.5418 Å. Structure: DFT lattice parameters and positions (PBE+U).
Kinematic intensities with the Lorentz-polarization factor, no thermal factor.

```
data_Mn6O7F5
_space_group_name_H-M_alt 'A m m 2'
_space_group_IT_number 38
_cell_length_a 9.111
_cell_length_b 6.269
_cell_length_c 7.065
_cell_angle_alpha 90.00
_cell_angle_beta 90.00
_cell_angle_gamma 90.00
loop_
_space_group_symop_operation_xyz
'x,y,z'
'-x,-y,z'
'-x,y,z'
'x,-y,z'
'x,y+1/2,z+1/2'
'-x,-y+1/2,z+1/2'
'-x,y+1/2,z+1/2'
'x,-y+1/2,z+1/2'
loop_
_atom_site_label
_atom_site_type_symbol
_atom_site_fract_x
_atom_site_fract_y
_atom_site_fract_z
Mn1 Mn 0.000 0.000 0.000
Mn2 Mn 0.158 0.000 0.530
Mn3 Mn 0.332 0.000 0.022
Mn4 Mn 0.500 0.000 0.519
O1 O 0.000 0.000 0.711
O2 O 0.165 0.195 0.015
O3 O 0.500 0.197 0.024
F1 F 0.000 0.000 0.311
F2 F 0.325 0.000 0.338
F3 F 0.335 0.000 0.714
```

Top 10 peaks for 15 to 90 degrees two-theta, most intense first:
Position (°2θ)	I_rel	index
25.2	100	0 0 2
35.2	89	3 1 1
28.5	83	0 2 0
51.2	64	3 1 3
54.9	46	3 3 1
67.4	39	3 3 3
51.8	18	0 0 4
39.1	16	3 0 2
38.4	15	0 2 2
61.0	15	6 0 0